# ScSb2Cl
Simulated powder diffraction line list, λ = 1.5418 Å (Cu Kα). Input: a DFT-relaxed cell (PBE, Alexandria).
Peak positions follow from Bragg's law for the DFT cell and can differ from measured ones.

The 12 most intense peaks (10 to 90 degrees two-theta), by angle:
index, 2θ/deg, d_spacing, intensity
0 0 1, 11.10, 7.971, 100
1 0 1, 24.19, 3.680, 39
0 1 1, 26.34, 3.384, 14
1 1 0, 31.43, 2.846, 27
1 0 2, 31.94, 2.802, 15
1 1 -1, 32.64, 2.744, 44
0 1 2, 32.86, 2.726, 31
1 0 -3, 37.52, 2.397, 26
1 1 2, 40.23, 2.242, 10
0 1 3, 41.70, 2.166, 28
1 0 -4, 48.03, 1.894, 16
0 2 0, 48.74, 1.868, 10

Atomic structure:
```
data_ScSb2Cl
_chemical_formula_sum 'Sc1 Sb2 Cl1'
_symmetry_space_group_name_H-M 'P 1'
_symmetry_Int_Tables_number 1
_symmetry_space_group_name_Hall 'P 1'
_cell_length_a 4.4203
_cell_length_b 3.7369
_cell_length_c 8.0197
_cell_angle_alpha 90.00
_cell_angle_beta 96.34
_cell_angle_gamma 90.00
loop_
_atom_site_label
_atom_site_type_symbol
_atom_site_fract_x
_atom_site_fract_y
_atom_site_fract_z
_atom_site_occupancy
Sc1 Sc 0.0000 0.0000 0.0000 1
Sb1 Sb 0.2587 0.0000 0.3533 1
Sb2 Sb 0.5235 0.5000 0.1425 1
Cl1 Cl 0.9078 0.5000 0.7821 1
```